Starting from a cell relaxed with GGA-PBE, the powder X-ray diffraction pattern of Na2Ac3Sn3 was computed for Cu Kα, 1.54184 Å.
Neutral-atom scattering factors, no anomalous dispersion.

Most intense lines, 2θ = 15–90°, low angle first:
d_spacing  Position (°2θ)  I (rel.)
3.681  24.18  17
3.042  29.36  24
2.867  31.20  100
2.813  31.81  25
2.065  43.83  16
1.634  56.29  19

Structure:
```
Na2Ac3Sn3
1.0
-1.9905 2.8130 12.1695
1.9905 -2.8130 12.1695
1.9905 2.8130 -12.1695
Na Ac Sn
2 3 3
Direct
0.2477 0.2477 0.0000
0.7523 0.7523 0.0000
0.0000 0.0000 0.0000
0.3837 0.8837 0.5000
0.6163 0.1163 0.5000
0.1434 0.6434 0.5000
0.5000 0.5000 0.0000
0.8566 0.3566 0.5000
```

=====

Starting from a cell relaxed with GGA-PBE, the powder X-ray diffraction pattern of Na12AcSn4 was computed for Cu Kα, 1.54184 Å.
Neutral-atom scattering factors, no anomalous dispersion.

Most intense lines, 2θ = 15–90°, low angle first:
d_spacing  Position (°2θ)  I (rel.)
4.461  19.90  29
3.863  23.02  100
3.456  25.78  36
2.920  30.61  38
2.231  40.44  73
1.728  53.00  27

Structure:
```
Na12AcSn4
1.0
-5.4637 5.4637 5.4637
5.4637 -5.4637 5.4637
5.4637 5.4637 -5.4637
Na Ac Sn
12 1 4
Direct
0.1643 0.3366 0.8276
0.1724 0.5090 0.3366
0.1724 0.8357 0.6634
0.3366 0.1724 0.5090
0.3366 0.8276 0.1643
0.4910 0.6634 0.8276
0.5090 0.3366 0.1724
0.6634 0.1724 0.8357
0.6634 0.8276 0.4910
0.8276 0.1643 0.3366
0.8276 0.4910 0.6634
0.8357 0.6634 0.1724
0.0000 0.0000 0.0000
0.0000 0.0000 0.5000
0.0000 0.5000 0.0000
0.5000 0.0000 0.0000
0.5000 0.5000 0.5000
```

=====

Starting from a cell relaxed with GGA-PBE, the powder X-ray diffraction pattern of Na4Ac3TbTe8 was computed for Cu Kα, 1.54184 Å.
Neutral-atom scattering factors, no anomalous dispersion.

Most intense lines, 2θ = 15–90°, low angle first:
d_spacing  Position (°2θ)  I (rel.)
4.006  22.19  22
3.307  26.96  100
2.350  38.30  39
2.327  38.70  38
1.916  47.46  21
1.485  62.56  18

Structure:
```
Na4Ac3TbTe8
1.0
4.6999 2.7135 7.5629
-4.6999 2.7135 7.5629
0.0000 -5.4270 7.5629
Na Ac Tb Te
4 3 1 8
Direct
0.0000 0.0000 0.0000
0.0000 0.5000 0.5000
0.5000 0.0000 0.5000
0.5000 0.5000 0.0000
0.0000 0.0000 0.5000
0.0000 0.5000 0.0000
0.5000 0.0000 0.0000
0.5000 0.5000 0.5000
0.2507 0.2507 0.2507
0.2607 0.2607 0.7368
0.2607 0.7368 0.2607
0.2632 0.7393 0.7393
0.7368 0.2607 0.2607
0.7393 0.2632 0.7393
0.7393 0.7393 0.2632
0.7493 0.7493 0.7493
```